For ZrCoH2F, the GGA+U geometry in Alexandria gives the computed XRD peak list in this record (Cu Ka).

Main lines, by intensity (2θ from 10° to 90°):
2theta  I (rel.)  hkl
34.0  1000  1 0 1
39.6  522  1 1 0
56.8  341  1 1 2
39.0  290  0 0 2
68.3  252  2 1 1
57.3  173  2 0 0
71.5  167  2 0 2
19.2  133  0 0 1
67.5  131  1 0 3
44.4  69  1 1 1

Structural model:
Unit cell a=3.216 b=3.216 c=4.616 alpha=90.00 beta=90.00 gamma=90.00
Space group P4/mmm (No. 123)
Symmetry-distinct sites (fractional):
1 Zr 0.000 0.000 0.000 [1 per cell]
2 Co 0.500 0.500 0.500 [1 per cell]
3 H 0.000 0.500 0.500 [2 per cell]
4 F 0.500 0.500 0.000 [1 per cell]